Structure and calculated powder diffractogram of Li4CoOF4 (a GGA+U-relaxed structure; λ = 1.5418 Å (Cu Kα)).
Kinematic intensities with the Lorentz-polarization factor, no thermal factor.

Cell and atoms:
a = 2.915 Å, b = 2.915 Å, c = 21.061 Å
α = 90.00°, β = 90.00°, γ = 90.00°
Space group I4/mmm (No. 139)
Inequivalent atoms, fractional coordinates:
Li1 0.000 0.000 0.103 x4
Li2 0.000 0.000 0.298 x4
Co1 0.000 0.000 0.500 x2
O1 0.000 0.000 0.000 x2
F1 0.000 0.000 0.202 x4
F2 0.000 0.000 0.394 x4

Peak list (8 most intense, 10 to 90 degrees two-theta, by angle)
- 2θ 16.84, I 56, hkl 0 0 4
- 2θ 30.97, I 64, hkl 1 0 1
- 2θ 33.28, I 46, hkl 1 0 3
- 2θ 42.94, I 52, hkl 0 0 10
- 2θ 43.21, I 34, hkl 1 0 7
- 2θ 43.93, I 100, hkl 1 1 0
- 2θ 63.11, I 54, hkl 1 1 10
- 2θ 63.87, I 27, hkl 2 0 0

Structure and calculated powder diffractogram of Li4CoO3F (a GGA+U-relaxed structure; λ = 1.5418 Å (Cu Kα)).
Kinematic intensities with the Lorentz-polarization factor, no thermal factor.

Cell and atoms:
a = 5.170 Å, b = 5.853 Å, c = 6.832 Å
α = 74.99°, β = 71.58°, γ = 69.36°
Space group P1 (No. 1)
Inequivalent atoms, fractional coordinates:
Li1 0.000 0.000 0.000 x1
Li2 0.022 0.453 0.014 x1
Li3 0.184 0.744 0.540 x1
Li4 0.232 0.283 0.586 x1
Li5 0.392 0.078 0.149 x1
Li6 0.439 0.568 0.211 x1
Li7 0.686 0.894 0.819 x1
Li8 0.905 0.174 0.407 x1
Co1 0.598 0.414 0.749 x1
Co2 0.865 0.671 0.339 x1
O1 0.103 0.886 0.270 x1
O2 0.160 0.369 0.287 x1
O3 0.366 0.218 0.853 x1
O4 0.544 0.462 0.492 x1
O5 0.737 0.777 0.100 x1
O6 0.819 0.630 0.648 x1
F1 0.042 0.007 0.691 x1
F2 0.720 0.327 0.011 x1

Peak list (8 most intense, 10 to 90 degrees two-theta, by angle)
- 2θ 16.41, I 69, hkl 0 1 0
- 2θ 18.94, I 51, hkl 1 0 0
- 2θ 19.68, I 100, hkl 0 1 1
- 2θ 20.53, I 50, hkl 1 0 1
- 2θ 20.78, I 56, hkl 1 1 1
- 2θ 28.67, I 82, hkl 1 -1 0
- 2θ 41.99, I 43, hkl 1 0 3
- 2θ 42.99, I 61, hkl 2 2 0

Structure and calculated powder diffractogram of Li4Co3OF11 (a GGA+U-relaxed structure; λ = 1.5418 Å (Cu Kα)).
Kinematic intensities with the Lorentz-polarization factor, no thermal factor.

Cell and atoms:
a = 5.443 Å, b = 5.734 Å, c = 6.784 Å
α = 95.41°, β = 100.25°, γ = 95.75°
Space group P1 (No. 1)
Inequivalent atoms, fractional coordinates:
Li1 0.000 0.000 0.000 x1
Li2 0.116 0.217 0.434 x1
Li3 0.578 0.033 0.214 x1
Li4 0.700 0.270 0.719 x1
Co1 0.260 0.481 0.043 x1
Co2 0.421 0.784 0.710 x1
Co3 0.819 0.622 0.359 x1
O1 0.503 0.648 0.221 x1
F1 0.050 0.264 0.828 x1
F2 0.162 0.589 0.498 x1
F3 0.175 0.763 0.890 x1
F4 0.281 0.188 0.183 x1
F5 0.370 0.049 0.583 x1
F6 0.502 0.502 0.818 x1
F7 0.642 0.000 0.926 x1
F8 0.731 0.765 0.593 x1
F9 0.748 0.318 0.435 x1
F10 0.914 0.921 0.287 x1
F11 0.921 0.482 0.134 x1

Peak list (8 most intense, 10 to 90 degrees two-theta, by angle)
- 2θ 15.63, I 100, hkl 0 1 0
- 2θ 19.38, I 63, hkl 0 1 -1
- 2θ 23.34, I 88, hkl 1 0 1
- 2θ 24.65, I 77, hkl -1 1 1
- 2θ 28.91, I 48, hkl 1 0 -2
- 2θ 30.17, I 39, hkl 1 1 1
- 2θ 32.92, I 45, hkl 0 2 -1
- 2θ 43.60, I 24, hkl 1 -2 2

Structure and calculated powder diffractogram of Li2CoOF3 (a GGA+U-relaxed structure; λ = 1.5418 Å (Cu Kα)).
Kinematic intensities with the Lorentz-polarization factor, no thermal factor.

Cell and atoms:
a = 10.204 Å, b = 5.826 Å, c = 5.857 Å
α = 90.00°, β = 123.93°, γ = 90.00°
Space group C2/m (No. 12)
Inequivalent atoms, fractional coordinates:
Li1 0.000 0.000 0.000 x2
Li2 0.000 0.000 0.500 x2
Li3 0.119 0.500 0.394 x4
Co1 0.250 0.250 0.000 x4
O1 0.248 0.000 0.189 x4
F1 0.018 0.238 0.765 x8
F2 0.243 0.000 0.732 x4

Peak list (8 most intense, 10 to 90 degrees two-theta, by angle)
- 2θ 18.26, I 92, hkl 0 0 1
- 2θ 18.59, I 100, hkl 2 0 -1
- 2θ 20.98, I 45, hkl 2 0 0
- 2θ 30.53, I 28, hkl 2 0 -2
- 2θ 35.94, I 32, hkl 0 2 1
- 2θ 36.12, I 30, hkl 2 2 -1
- 2θ 42.72, I 38, hkl 4 0 0
- 2θ 43.84, I 69, hkl 2 2 -2

Structure and calculated powder diffractogram of LiCo7O7F (a GGA+U-relaxed structure; λ = 1.5418 Å (Cu Kα)).
Kinematic intensities with the Lorentz-polarization factor, no thermal factor.

Cell and atoms:
a = 3.2869 Å, b = 3.2869 Å, c = 20.9493 Å
α = 90.00°, β = 90.00°, γ = 120.00°
Space group P3m1 (No. 156)
Inequivalent atoms, fractional coordinates:
Li1 0.0000 0.0000 0.0000 x1
Co1 0.0000 0.0000 0.2566 x1
Co2 0.0000 0.0000 0.5065 x1
Co3 0.0000 0.0000 0.7566 x1
Co4 0.3333 0.6667 0.1334 x1
Co5 0.3333 0.6667 0.3817 x1
Co6 0.3333 0.6667 0.6313 x1
Co7 0.3333 0.6667 0.8812 x1
O1 0.0000 0.0000 0.1602 x1
O2 0.0000 0.0000 0.4102 x1
O3 0.0000 0.0000 0.6604 x1
O4 0.0000 0.0000 0.9105 x1
O5 0.3333 0.6667 0.2855 x1
O6 0.3333 0.6667 0.5353 x1
O7 0.3333 0.6667 0.7848 x1
F1 0.3333 0.6667 0.0368 x1

Peak list (8 most intense, 10 to 90 degrees two-theta, by angle)
- 2θ 31.43, I 68, hkl 1 0 0
- 2θ 34.24, I 47, hkl 0 0 8
- 2θ 35.91, I 100, hkl 1 0 4
- 2θ 47.16, I 28, hkl 1 0 8
- 2θ 55.95, I 43, hkl 1 1 0
- 2θ 62.40, I 38, hkl 1 0 12
- 2θ 67.26, I 33, hkl 1 1 8
- 2θ 68.29, I 14, hkl 0 2 4

Structure and calculated powder diffractogram of LiCo6O2F10 (a GGA+U-relaxed structure; λ = 1.5418 Å (Cu Kα)).
Kinematic intensities with the Lorentz-polarization factor, no thermal factor.

Cell and atoms:
a = 4.872 Å, b = 4.891 Å, c = 9.172 Å
α = 89.29°, β = 89.86°, γ = 86.77°
Space group P1 (No. 1)
Inequivalent atoms, fractional coordinates:
Li1 0.000 0.000 0.000 x1
Co1 0.457 0.047 0.321 x1
Co2 0.476 0.008 0.650 x1
Co3 0.510 0.971 0.987 x1
Co4 0.972 0.512 0.162 x1
Co5 0.973 0.509 0.823 x1
Co6 0.979 0.513 0.478 x1
O1 0.163 0.345 0.309 x1
O2 0.801 0.676 0.000 x1
F1 0.184 0.329 0.651 x1
F2 0.213 0.301 0.986 x1
F3 0.262 0.837 0.486 x1
F4 0.264 0.829 0.824 x1
F5 0.269 0.838 0.144 x1
F6 0.675 0.207 0.489 x1
F7 0.713 0.178 0.146 x1
F8 0.718 0.156 0.829 x1
F9 0.750 0.714 0.322 x1
F10 0.769 0.690 0.648 x1

Peak list (8 most intense, 10 to 90 degrees two-theta, by angle)
- 2θ 25.10, I 100, hkl 1 1 0
- 2θ 26.59, I 85, hkl 1 -1 0
- 2θ 34.42, I 23, hkl 0 1 3
- 2θ 34.65, I 55, hkl 1 0 -3
- 2θ 34.81, I 19, hkl 0 1 -3
- 2θ 50.91, I 32, hkl 2 1 -3
- 2θ 51.53, I 21, hkl 2 2 0
- 2θ 52.49, I 26, hkl 2 -1 3

Copy entry 3 word for word.
Structure and calculated powder diffractogram of Li4Co3OF11 (a GGA+U-relaxed structure; λ = 1.5418 Å (Cu Kα)).
Kinematic intensities with the Lorentz-polarization factor, no thermal factor.

Cell and atoms:
a = 5.443 Å, b = 5.734 Å, c = 6.784 Å
α = 95.41°, β = 100.25°, γ = 95.75°
Space group P1 (No. 1)
Inequivalent atoms, fractional coordinates:
Li1 0.000 0.000 0.000 x1
Li2 0.116 0.217 0.434 x1
Li3 0.578 0.033 0.214 x1
Li4 0.700 0.270 0.719 x1
Co1 0.260 0.481 0.043 x1
Co2 0.421 0.784 0.710 x1
Co3 0.819 0.622 0.359 x1
O1 0.503 0.648 0.221 x1
F1 0.050 0.264 0.828 x1
F2 0.162 0.589 0.498 x1
F3 0.175 0.763 0.890 x1
F4 0.281 0.188 0.183 x1
F5 0.370 0.049 0.583 x1
F6 0.502 0.502 0.818 x1
F7 0.642 0.000 0.926 x1
F8 0.731 0.765 0.593 x1
F9 0.748 0.318 0.435 x1
F10 0.914 0.921 0.287 x1
F11 0.921 0.482 0.134 x1

Peak list (8 most intense, 10 to 90 degrees two-theta, by angle)
- 2θ 15.63, I 100, hkl 0 1 0
- 2θ 19.38, I 63, hkl 0 1 -1
- 2θ 23.34, I 88, hkl 1 0 1
- 2θ 24.65, I 77, hkl -1 1 1
- 2θ 28.91, I 48, hkl 1 0 -2
- 2θ 30.17, I 39, hkl 1 1 1
- 2θ 32.92, I 45, hkl 0 2 -1
- 2θ 43.60, I 24, hkl 1 -2 2